[1]
The following is a simulated XRD peak list of Cd3As2Br. It was derived from a PBE-relaxed structure, using CuKα.

Main lines, low angle first (10 to 80 degrees two-theta):
| two_theta | intensity |
| --- | --- |
| 24.20 | 48 |
| 24.39 | 100 |
| 25.10 | 53 |
| 39.92 | 47 |
| 40.41 | 22 |
| 41.07 | 70 |
| 47.64 | 27 |
| 47.84 | 14 |
| 48.16 | 13 |
| 58.97 | 12 |

Crystal structure
```
Cd3As2Br
1.0
3.927 -6.697 0.000
3.927 6.697 0.000
-2.654 0.000 7.097
Cd As Br
6 4 2
Direct
0.091 0.909 0.500
0.278 0.821 0.009
0.465 0.664 0.533
0.664 0.465 0.033
0.821 0.278 0.509
0.909 0.091 0.000
0.157 0.654 0.638
0.654 0.157 0.138
0.838 0.990 0.633
0.990 0.838 0.133
0.322 0.491 0.130
0.491 0.322 0.630
```



[2]
The following is a simulated XRD peak list of Ba2CeNdS6. It was derived from a PBE-relaxed structure, using CuKα.

Main lines, low angle first (10 to 80 degrees two-theta):
| two_theta | intensity |
| --- | --- |
| 23.08 | 42 |
| 23.72 | 100 |
| 23.85 | 99 |
| 24.30 | 44 |
| 33.75 | 60 |
| 34.02 | 39 |
| 38.07 | 28 |
| 41.51 | 26 |
| 42.35 | 46 |
| 42.56 | 31 |

Crystal structure
```
Ba2CeNdS6
1.0
7.327 0.000 0.000
0.000 7.709 0.000
-7.254 0.000 10.540
Ba Ce Nd S
4 2 2 12
Direct
0.226 0.068 0.249
0.226 0.432 0.749
0.774 0.568 0.251
0.774 0.932 0.751
0.500 0.000 0.000
0.500 0.500 0.500
0.000 0.000 0.500
0.000 0.500 0.000
0.153 0.199 0.948
0.153 0.301 0.448
0.249 0.710 0.945
0.249 0.790 0.445
0.356 0.032 0.755
0.356 0.468 0.255
0.644 0.532 0.745
0.644 0.968 0.245
0.751 0.210 0.555
0.751 0.290 0.055
0.847 0.699 0.552
0.847 0.801 0.052
```



[3]
The following is a simulated XRD peak list of PmCd11Pt. It was derived from a PBE-relaxed structure, using CuKα.

Main lines, low angle first (10 to 80 degrees two-theta):
| two_theta | intensity |
| --- | --- |
| 17.75 | 14 |
| 31.01 | 36 |
| 35.92 | 100 |
| 36.03 | 56 |
| 40.31 | 44 |
| 40.43 | 29 |
| 40.50 | 13 |
| 58.41 | 12 |
| 64.58 | 10 |
| 64.70 | 20 |

Crystal structure
```
PmCd11Pt
1.0
2.881 -7.089 0.000
2.881 7.089 0.000
-2.864 0.000 7.045
Pm Cd Pt
1 11 1
Direct
0.000 0.000 0.000
0.000 0.000 0.500
0.000 0.500 0.000
0.021 0.363 0.357
0.296 0.504 0.786
0.363 0.021 0.357
0.496 0.704 0.214
0.500 0.000 0.000
0.504 0.296 0.786
0.637 0.979 0.643
0.704 0.496 0.214
0.979 0.637 0.643
0.500 0.500 0.500
```



[4]
The following is a simulated XRD peak list of Ca2Nd3Pd2. It was derived from a PBE-relaxed structure, using CuKα.

Main lines, low angle first (10 to 80 degrees two-theta):
| two_theta | intensity |
| --- | --- |
| 14.19 | 100 |
| 29.59 | 36 |
| 30.60 | 59 |
| 31.97 | 37 |
| 32.50 | 65 |
| 33.15 | 33 |
| 34.56 | 66 |
| 37.41 | 35 |
| 37.67 | 50 |
| 45.59 | 33 |

Crystal structure
```
Ca2Nd3Pd2
1.0
12.905 0.000 0.000
0.000 3.981 0.000
-4.281 0.000 8.275
Ca Nd Pd
4 6 4
Direct
0.165 0.000 0.309
0.335 0.500 0.691
0.665 0.500 0.309
0.835 0.000 0.691
0.000 0.500 0.500
0.119 0.500 0.940
0.381 0.000 0.060
0.500 0.000 0.500
0.619 0.000 0.940
0.881 0.500 0.060
0.166 0.000 0.740
0.334 0.500 0.260
0.666 0.500 0.740
0.834 0.000 0.260
```



[5]
The following is a simulated XRD peak list of Li6CeCd6. It was derived from a PBE-relaxed structure, using CuKα.

Main lines, low angle first (10 to 80 degrees two-theta):
| two_theta | intensity |
| --- | --- |
| 17.86 | 68 |
| 28.41 | 17 |
| 31.87 | 100 |
| 33.83 | 39 |
| 36.77 | 83 |
| 38.49 | 36 |
| 59.28 | 18 |
| 62.44 | 20 |
| 65.45 | 29 |
| 66.60 | 21 |

Crystal structure
```
Li6CeCd6
1.0
-2.650 4.967 4.967
2.650 -4.967 4.967
2.650 4.967 -4.967
Li Ce Cd
6 1 6
Direct
0.000 0.000 0.500
0.000 0.500 0.000
0.227 0.227 0.000
0.500 0.000 0.000
0.500 0.500 0.500
0.773 0.773 0.000
0.000 0.500 0.500
0.196 0.000 0.196
0.344 0.844 0.500
0.349 0.500 0.849
0.651 0.500 0.151
0.656 0.156 0.500
0.804 0.000 0.804
```



[6]
The following is a simulated XRD peak list of Ce2ThFeAu. It was derived from a PBE-relaxed structure, using CuKα.

Main lines, low angle first (10 to 80 degrees two-theta):
| two_theta | intensity |
| --- | --- |
| 26.08 | 8 |
| 30.80 | 100 |
| 32.52 | 28 |
| 37.22 | 44 |
| 42.15 | 7 |
| 50.24 | 33 |
| 53.65 | 15 |
| 56.95 | 14 |
| 63.15 | 27 |
| 64.16 | 16 |

Crystal structure
```
Ce2ThFeAu
1.0
4.832 0.000 0.000
0.000 4.832 0.000
0.000 0.000 5.507
Ce Th Fe Au
2 1 1 1
Direct
0.000 0.500 0.046
0.500 0.000 0.954
0.000 0.000 0.500
0.000 0.000 0.000
0.500 0.500 0.500
```



[7]
The following is a simulated XRD peak list of HoEr7. It was derived from a PBE-relaxed structure, using CuKα.

Main lines, low angle first (10 to 80 degrees two-theta):
| two_theta | intensity |
| --- | --- |
| 31.33 | 100 |
| 36.33 | 51 |
| 52.33 | 36 |
| 62.27 | 43 |
| 65.37 | 12 |
| 77.16 | 6 |

Crystal structure
```
HoEr7
1.0
0.000 4.945 4.945
4.945 0.000 4.945
4.945 4.945 0.000
Ho Er
1 7
Direct
0.000 0.000 0.000
0.000 0.000 0.500
0.000 0.500 0.000
0.000 0.500 0.500
0.500 0.000 0.000
0.500 0.000 0.500
0.500 0.500 0.000
0.500 0.500 0.500
```



[8]
The following is a simulated XRD peak list of MnZn2Cu8. It was derived from a PBE-relaxed structure, using CuKα.

Main lines, low angle first (10 to 80 degrees two-theta):
| two_theta | intensity |
| --- | --- |
| 42.46 | 100 |
| 42.53 | 100 |
| 48.63 | 33 |
| 49.85 | 30 |
| 49.95 | 30 |
| 72.09 | 9 |
| 72.29 | 27 |
| 73.25 | 17 |

Crystal structure
```
MnZn2Cu8
1.0
4.492 0.000 0.000
-0.770 4.429 0.000
-0.640 -0.237 6.915
Mn Zn Cu
1 2 8
Direct
0.000 0.000 0.000
0.182 0.372 0.724
0.818 0.628 0.276
0.093 0.179 0.364
0.275 0.546 0.091
0.366 0.729 0.454
0.457 0.912 0.817
0.543 0.088 0.183
0.634 0.271 0.546
0.725 0.454 0.909
0.907 0.821 0.636
```